No. 1
Starting from a structure optimized by DFT (PBE), the X-ray powder pattern of LiTm2Cl2O2 was calculated for Cu Kα.
Neutral-atom scattering factors, no anomalous dispersion.

Main lines, in order of rising 2θ (2θ from 15° to 90°):
d (Å), I/Imax, index
3.751, 23.6, 0 0 2
3.477, 100.0, 1 0 1
2.774, 59.3, 1 1 0
2.711, 55.9, 1 0 2
2.501, 15.8, 0 0 3
2.231, 33.0, 1 1 2
1.962, 29.3, 2 0 0
1.857, 26.3, 1 1 3
1.708, 28.1, 2 1 1
1.692, 20.0, 1 0 4
1.589, 21.7, 2 1 2
1.281, 16.0, 2 1 4

Structure:
```
data_LiTm2Cl2O2
_symmetry_space_group_name_H-M 'P 4 m m'
_symmetry_Int_Tables_number 99
_cell_length_a 3.9234
_cell_length_b 3.9234
_cell_length_c 7.5021
_cell_angle_alpha 90.00
_cell_angle_beta 90.00
_cell_angle_gamma 90.00
loop_
_symmetry_equiv_pos_as_xyz
'x,y,z'
'-y,x,z'
'-x,-y,z'
'y,-x,z'
'-x,y,z'
'y,x,z'
'x,-y,z'
'-y,-x,z'
loop_
_atom_site_label
_atom_site_type_symbol
_atom_site_fract_x
_atom_site_fract_y
_atom_site_fract_z
Li1 Li 0.0000 0.0000 0.0000
Tm1 Tm 0.0000 0.0000 0.3408
Tm2 Tm 0.5000 0.5000 0.9618
Cl1 Cl 0.0000 0.0000 0.7038
Cl2 Cl 0.5000 0.5000 0.4297
O1 O 0.0000 0.5000 0.0792
```

No. 2
Starting from a structure optimized by DFT (PBE), the X-ray powder pattern of LiU2Cl3O8 was calculated for Cu Kα.
Neutral-atom scattering factors, no anomalous dispersion.

Main lines, in order of rising 2θ (2θ from 15° to 90°):
d (Å), I/Imax, index
5.234, 35.4, 1 1 -1
3.898, 58.4, 1 1 1
3.879, 100.0, 1 -2 1
3.651, 37.3, 2 0 -1
3.403, 69.3, 2 1 -1
3.370, 33.6, 2 0 1
3.081, 30.5, -1 1 2
2.897, 41.9, 0 1 -3
2.632, 43.0, 1 0 -3
2.549, 29.4, 3 0 -1
2.428, 37.4, 2 -3 1
1.939, 29.6, 1 -3 4

Structure:
```
data_LiU2Cl3O8
_symmetry_space_group_name_H-M 'P -1'
_symmetry_Int_Tables_number 2
_cell_length_a 7.8519
_cell_length_b 8.6944
_cell_length_c 8.7134
_cell_angle_alpha 111.15
_cell_angle_beta 93.68
_cell_angle_gamma 95.14
loop_
_symmetry_equiv_pos_as_xyz
'x,y,z'
'-x,-y,-z'
loop_
_atom_site_label
_atom_site_type_symbol
_atom_site_fract_x
_atom_site_fract_y
_atom_site_fract_z
Li1 Li 0.1381 0.1919 0.2763
U1 U 0.1296 0.5164 0.8380
U2 U 0.3133 0.8067 0.2946
Cl1 Cl 0.0538 0.7042 0.4783
Cl2 Cl 0.3879 0.9704 0.6410
Cl3 Cl 0.4098 0.7543 0.9795
O1 O 0.0058 0.6770 0.8154
O2 O 0.0672 0.0211 0.9756
O3 O 0.1144 0.6159 0.1145
O4 O 0.1923 0.9741 0.2871
O5 O 0.2184 0.4607 0.5698
O6 O 0.2472 0.3518 0.8477
O7 O 0.3717 0.3213 0.3334
O8 O 0.4299 0.6459 0.3137
```

No. 3
Starting from a structure optimized by DFT (PBE), the X-ray powder pattern of Li6PS5Cl was calculated for Cu Kα.
Neutral-atom scattering factors, no anomalous dispersion.

Main lines, in order of rising 2θ (2θ from 15° to 90°):
d (Å), I/Imax, index
5.140, 16.7, 2 0 0
3.634, 78.3, 2 2 0
3.099, 100.0, 3 1 1
2.967, 70.4, 2 2 2
2.358, 9.2, 3 3 1
2.098, 28.0, 4 2 2
1.978, 35.5, 5 1 1
1.817, 65.7, 4 4 0
1.625, 10.5, 6 2 0
1.550, 21.8, 6 2 2
1.374, 15.6, 6 4 2
1.338, 17.6, 7 3 1

Structure:
```
data_Li6PS5Cl
_symmetry_space_group_name_H-M 'F -4 3 m'
_symmetry_Int_Tables_number 216
_symmetry_space_group_name_Hall 'F -4 2 3'
_cell_length_a 10.2795
_cell_length_b 10.2795
_cell_length_c 10.2795
_cell_angle_alpha 90.00
_cell_angle_beta 90.00
_cell_angle_gamma 90.00
loop_
_atom_site_label
_atom_site_type_symbol
_atom_site_fract_x
_atom_site_fract_y
_atom_site_fract_z
Li1 Li 0.0000 0.0000 0.2269
P1 P 0.2500 0.2500 0.2500
S1 S 0.0000 0.0000 0.0000
S2 S 0.1345 0.1345 0.3655
Cl1 Cl 0.2500 0.2500 0.7500
```

No. 4
Starting from a structure optimized by DFT (PBE), the X-ray powder pattern of Li5PS4Cl2 was calculated for Cu Kα.
Neutral-atom scattering factors, no anomalous dispersion.

Main lines, in order of rising 2θ (2θ from 15° to 90°):
d (Å), I/Imax, index
5.225, 30.4, 0 1 1
4.235, 44.9, 1 1 1
3.606, 16.4, 2 0 0
3.025, 100.0, 0 3 1
3.012, 17.3, 0 0 2
2.968, 99.7, 2 1 1
2.115, 45.5, 2 2 2
1.803, 15.1, 4 0 0
1.749, 12.4, 0 6 0
1.736, 31.4, 2 5 1
1.693, 12.6, 1 3 3
1.549, 23.2, 4 3 1

Structure:
```
data_Li5PS4Cl2
_symmetry_space_group_name_H-M 'A m m 2'
_symmetry_Int_Tables_number 38
_cell_length_a 7.2121
_cell_length_b 10.4943
_cell_length_c 6.0239
_cell_angle_alpha 90.00
_cell_angle_beta 90.00
_cell_angle_gamma 90.00
loop_
_symmetry_equiv_pos_as_xyz
'x,y,z'
'-x,-y,z'
'-x,y,z'
'x,-y,z'
'x,y+1/2,z+1/2'
'-x,-y+1/2,z+1/2'
'-x,y+1/2,z+1/2'
'x,-y+1/2,z+1/2'
loop_
_atom_site_label
_atom_site_type_symbol
_atom_site_fract_x
_atom_site_fract_y
_atom_site_fract_z
Li1 Li 0.0000 0.0000 0.0000
Li2 Li 0.2547 0.1925 0.5152
P1 P 0.5000 0.0000 0.0638
S1 S 0.2665 0.0000 0.2621
S2 S 0.5000 0.1598 0.8629
Cl1 Cl 0.0000 0.1767 0.7658
```

No. 5
Starting from a structure optimized by DFT (PBE), the X-ray powder pattern of Li20Si3P3S23Cl was calculated for Cu Kα.
Neutral-atom scattering factors, no anomalous dispersion.

Main lines, in order of rising 2θ (2θ from 15° to 90°):
d (Å), I/Imax, index
4.469, 55.3, 1 1 2
4.449, 14.7, 2 0 0
3.790, 21.1, 2 1 1
3.760, 21.1, 1 2 -1
3.351, 19.7, 1 2 -2
3.123, 29.0, 2 2 0
3.079, 100.0, 2 0 3
3.057, 98.6, 0 2 3
2.225, 20.7, 4 0 0
2.193, 22.9, 0 4 0
1.945, 21.3, 2 3 -4
1.761, 34.2, 2 2 -6

Structure:
```
data_Li20Si3P3S23Cl
_symmetry_space_group_name_H-M 'P 1 m 1'
_symmetry_Int_Tables_number 6
_cell_length_a 8.8982
_cell_length_b 8.7720
_cell_length_c 12.7927
_cell_angle_alpha 90.00
_cell_angle_beta 90.16
_cell_angle_gamma 90.00
loop_
_symmetry_equiv_pos_as_xyz
'x,y,z'
'x,-y,z'
loop_
_atom_site_label
_atom_site_type_symbol
_atom_site_fract_x
_atom_site_fract_y
_atom_site_fract_z
Li1 Li 0.0000 0.0000 0.0000
Li2 Li 0.0011 0.0000 0.4956
Li3 Li 0.1590 0.2816 0.6760
Li4 Li 0.2532 0.2566 0.4254
Li5 Li 0.2612 0.2785 0.1646
Li6 Li 0.2630 0.2374 0.9261
Li7 Li 0.4894 0.5000 0.8807
Li8 Li 0.5098 0.5000 0.3563
Li9 Li 0.7401 0.2401 0.9293
Li10 Li 0.7526 0.2603 0.4021
Li11 Li 0.7583 0.2623 0.6273
Li12 Li 0.7750 0.3193 0.1704
Si1 Si 0.0065 0.5000 0.4238
Si2 Si 0.4906 0.5000 0.6020
Si3 Si 0.5072 0.5000 0.1198
P1 P 0.0057 0.0000 0.2492
P2 P 0.5063 0.0000 0.9322
P3 P 0.9987 0.0000 0.7529
S1 S 0.0023 0.1985 0.8428
S2 S 0.0083 0.1876 0.1524
S3 S 0.1864 0.0000 0.6624
S4 S 0.1975 0.0000 0.3408
S5 S 0.2089 0.5000 0.3378
S6 S 0.3014 0.5000 0.0271
S7 S 0.3158 0.0000 0.0252
S8 S 0.3166 0.5000 0.7122
S9 S 0.5011 0.1916 0.8391
S10 S 0.5151 0.2997 0.2125
S11 S 0.5182 0.2963 0.5175
S12 S 0.6956 0.0000 0.0243
S13 S 0.7073 0.5000 0.0201
S14 S 0.8038 0.0000 0.6684
S15 S 0.8121 0.0000 0.3369
S16 S 0.8154 0.5000 0.3228
S17 S 0.9924 0.2998 0.5201
Cl1 Cl 0.6960 0.5000 0.7098
```

No. 6
Starting from a structure optimized by DFT (PBE), the X-ray powder pattern of Li20Si3P3S23Cl was calculated for Cu Kα.
Neutral-atom scattering factors, no anomalous dispersion.

Main lines, in order of rising 2θ (2θ from 15° to 90°):
d (Å), I/Imax, index
4.459, 65.7, 1 1 -2
3.774, 26.9, 1 2 1
3.756, 25.3, 2 1 1
3.356, 24.8, 1 2 -2
3.115, 30.1, 2 2 0
3.068, 94.9, 0 2 3
3.055, 100.0, 2 0 3
2.230, 17.0, 2 2 -4
2.213, 25.2, 0 4 0
2.193, 23.4, 4 0 0
1.942, 35.4, 3 2 -4
1.756, 15.0, 2 2 6

Structure:
```
data_Li20Si3P3S23Cl
_symmetry_space_group_name_H-M 'P 1 m 1'
_symmetry_Int_Tables_number 6
_cell_length_a 8.7703
_cell_length_b 8.8510
_cell_length_c 12.7718
_cell_angle_alpha 90.00
_cell_angle_beta 90.11
_cell_angle_gamma 90.00
loop_
_symmetry_equiv_pos_as_xyz
'x,y,z'
'x,-y,z'
loop_
_atom_site_label
_atom_site_type_symbol
_atom_site_fract_x
_atom_site_fract_y
_atom_site_fract_z
Li1 Li 0.0000 0.0000 0.0000
Li2 Li 0.0011 0.0000 0.4823
Li3 Li 0.2271 0.2617 0.3439
Li4 Li 0.2505 0.2517 0.0711
Li5 Li 0.2670 0.2555 0.5869
Li6 Li 0.2735 0.2318 0.8436
Li7 Li 0.4977 0.5000 0.6050
Li8 Li 0.5097 0.5000 0.0881
Li9 Li 0.7281 0.2318 0.8465
Li10 Li 0.7336 0.2543 0.5857
Li11 Li 0.7519 0.2646 0.0826
Li12 Li 0.7787 0.2658 0.3371
Si1 Si 0.0024 0.0000 0.2407
Si2 Si 0.5019 0.5000 0.8523
Si3 Si 0.5158 0.5000 0.3674
P1 P 0.0010 0.0000 0.7375
P2 P 0.0011 0.5000 0.5535
P3 P 0.5005 0.0000 0.0551
S1 S 0.0008 0.1911 0.8282
S2 S 0.0024 0.3069 0.4624
S3 S 0.0036 0.2029 0.1466
S4 S 0.1900 0.5000 0.6481
S5 S 0.1971 0.0000 0.6475
S6 S 0.2006 0.0000 0.3371
S7 S 0.3019 0.5000 0.9519
S8 S 0.3058 0.0000 0.9624
S9 S 0.4973 0.2982 0.4535
S10 S 0.4999 0.1915 0.1454
S11 S 0.5011 0.3030 0.7544
S12 S 0.6916 0.5000 0.2565
S13 S 0.6946 0.0000 0.9637
S14 S 0.7052 0.5000 0.9487
S15 S 0.8033 0.0000 0.3356
S16 S 0.8057 0.0000 0.6466
S17 S 0.8104 0.5000 0.6453
Cl1 Cl 0.3032 0.5000 0.2659
```

No. 7
Starting from a structure optimized by DFT (PBE), the X-ray powder pattern of Li20Si3P3S23Cl was calculated for Cu Kα.
Neutral-atom scattering factors, no anomalous dispersion.

Main lines, in order of rising 2θ (2θ from 15° to 90°):
d (Å), I/Imax, index
4.448, 44.8, 1 1 -2
4.390, 19.2, 2 0 0
3.752, 35.9, 2 1 1
3.346, 17.8, 1 2 -2
3.104, 20.9, 2 2 0
3.057, 100.0, 2 0 -3
3.045, 35.0, 2 0 3
2.713, 12.1, 3 1 -1
2.196, 17.3, 0 4 0
2.194, 16.3, 4 0 0
1.939, 16.9, 3 2 -4
1.932, 15.9, 3 2 4

Structure:
```
data_Li20Si3P3S23Cl
_symmetry_space_group_name_H-M 'P 1 m 1'
_symmetry_Int_Tables_number 6
_cell_length_a 8.7763
_cell_length_b 8.7831
_cell_length_c 12.7515
_cell_angle_alpha 90.00
_cell_angle_beta 90.30
_cell_angle_gamma 90.00
loop_
_symmetry_equiv_pos_as_xyz
'x,y,z'
'x,-y,z'
loop_
_atom_site_label
_atom_site_type_symbol
_atom_site_fract_x
_atom_site_fract_y
_atom_site_fract_z
Li1 Li 0.0000 0.0000 0.0000
Li2 Li 0.0007 0.0000 0.5198
Li3 Li 0.2353 0.2643 0.3681
Li4 Li 0.2535 0.2454 0.0776
Li5 Li 0.2671 0.2274 0.8495
Li6 Li 0.2708 0.2512 0.6095
Li7 Li 0.4965 0.5000 0.6259
Li8 Li 0.5096 0.5000 0.1065
Li9 Li 0.7275 0.2502 0.6093
Li10 Li 0.7340 0.2294 0.8560
Li11 Li 0.7474 0.2518 0.0879
Li12 Li 0.7761 0.2703 0.3589
Si1 Si 0.0003 0.0000 0.7602
Si2 Si 0.5020 0.5000 0.8728
Si3 Si 0.5153 0.5000 0.3854
P1 P 0.0018 0.5000 0.5671
P2 P 0.0030 0.0000 0.2542
P3 P 0.4995 0.0000 0.0738
S1 S 0.0004 0.1978 0.8568
S2 S 0.0039 0.1969 0.1647
S3 S 0.0039 0.3054 0.4757
S4 S 0.1904 0.5000 0.6622
S5 S 0.1951 0.0000 0.3463
S6 S 0.2037 0.0000 0.6656
S7 S 0.3029 0.5000 0.9717
S8 S 0.3076 0.0000 0.9784
S9 S 0.4968 0.2958 0.4710
S10 S 0.4989 0.1923 0.1643
S11 S 0.5017 0.3031 0.7726
S12 S 0.6901 0.5000 0.2747
S13 S 0.6942 0.0000 0.9831
S14 S 0.7046 0.5000 0.9698
S15 S 0.7992 0.0000 0.6625
S16 S 0.8101 0.0000 0.3437
S17 S 0.8105 0.5000 0.6578
Cl1 Cl 0.3020 0.5000 0.2847
```

No. 8
Starting from a structure optimized by DFT (PBE), the X-ray powder pattern of RbLiCl2 was calculated for Cu Kα.
Neutral-atom scattering factors, no anomalous dispersion.

Main lines, in order of rising 2θ (2θ from 15° to 90°):
d (Å), I/Imax, index
5.167, 54.1, 0 2 1
3.657, 44.1, 0 0 2
3.270, 31.1, 0 2 2
3.170, 100.0, 1 3 0
2.909, 51.2, 1 3 1
2.706, 78.7, 1 1 2
2.584, 48.4, 0 4 2
2.395, 24.7, 1 3 2
2.308, 26.8, 0 6 1
2.090, 21.5, 2 0 0
1.625, 21.9, 2 4 2
1.585, 24.6, 1 3 4

Structure:
```
data_RbLiCl2
_symmetry_space_group_name_H-M 'C m c m'
_symmetry_Int_Tables_number 63
_symmetry_space_group_name_Hall '-C 2c 2'
_cell_length_a 4.1805
_cell_length_b 14.5920
_cell_length_c 7.3186
_cell_angle_alpha 90.00
_cell_angle_beta 90.00
_cell_angle_gamma 90.00
loop_
_atom_site_label
_atom_site_type_symbol
_atom_site_fract_x
_atom_site_fract_y
_atom_site_fract_z
Rb1 Rb 0.0000 0.1293 0.2500
Li1 Li 0.0000 0.3961 0.2500
Cl1 Cl 0.0000 0.1900 0.7500
Cl2 Cl 0.0000 0.5000 0.0000
```